[1]
This entry pairs a crystal structure of Sn with its simulated powder diffraction line list. Radiation: Cu Ka. Structure: a DFT-relaxed cell (GGA-PBE, Alexandria).

Most intense lines, 15 to 90 degrees two-theta, sorted by position:
(hkl), Position (°2θ), d_spacing, I/Imax
2 1 0, 16.05, 5.522, 79
2 1 1, 17.59, 5.041, 56
3 2 1, 27.02, 3.300, 82
4 1 0, 29.83, 2.995, 35
5 3 0, 42.70, 2.118, 100
5 3 2, 45.27, 2.003, 53

Cell and atoms:
Unit cell a=12.3478 b=12.3478 c=12.3478 alpha=90.00 beta=90.00 gamma=90.00
Space group Pm-3n (No. 223)
Symmetry-distinct sites (fractional):
Sn  0.0000  0.1169  0.3083
Sn  0.0000  0.2500  0.5000
Sn  0.1835  0.1835  0.1835



[2]
This entry pairs a crystal structure of ZnBiPb with its simulated powder diffraction line list. Radiation: Cu Ka. Structure: a DFT-relaxed cell (GGA-PBE, Alexandria).

Most intense lines, 15 to 90 degrees two-theta, sorted by position:
(hkl), Position (°2θ), d_spacing, I/Imax
1 0 2, 25.89, 3.442, 35
2 1 1, 30.21, 2.959, 100
1 1 2, 30.36, 2.944, 33
0 2 0, 31.49, 2.841, 55
3 1 1, 40.03, 2.253, 27
2 3 1, 55.30, 1.661, 25

Cell and atoms:
Unit cell a=7.7683 b=5.6818 c=7.6776 alpha=90.00 beta=90.00 gamma=90.00
Space group Pnma (No. 62)
Symmetry-distinct sites (fractional):
Zn  0.1387  0.2500  0.0328
Bi  0.2374  0.7500  0.8836
Pb  0.0344  0.7500  0.3143



[3]
This entry pairs a crystal structure of InGaPbAu2 with its simulated powder diffraction line list. Radiation: Cu Ka. Structure: a DFT-relaxed cell (GGA-PBE, Alexandria).

Most intense lines, 15 to 90 degrees two-theta, sorted by position:
(hkl), Position (°2θ), d_spacing, I/Imax
1 1 1, 25.62, 3.477, 100
4 0 -2, 27.24, 3.274, 88
1 1 2, 34.72, 2.584, 72
5 1 -1, 37.08, 2.425, 75
3 1 -3, 38.39, 2.345, 70
0 2 0, 39.20, 2.298, 98

Cell and atoms:
Unit cell a=14.4053 b=4.5965 c=8.2315 alpha=90.00 beta=118.10 gamma=90.00
Space group C2/m (No. 12)
Symmetry-distinct sites (fractional):
In  0.1286  0.0000  0.3281
Ga  0.0498  0.5000  0.7506
Pb  0.2500  0.0000  0.8205
Au  0.0851  0.0000  0.9439
Au  0.1426  0.5000  0.5371



[4]
This entry pairs a crystal structure of Cs2Mg3PaF12 with its simulated powder diffraction line list. Radiation: Cu Ka. Structure: a DFT-relaxed cell (GGA-PBE, Alexandria).

Most intense lines, 15 to 90 degrees two-theta, sorted by position:
(hkl), Position (°2θ), d_spacing, I/Imax
0 1 2, 16.47, 5.381, 95
1 1 0, 23.60, 3.769, 93
0 1 5, 27.15, 3.285, 100
1 1 3, 27.54, 3.239, 89
2 0 2, 28.92, 3.087, 43
2 0 5, 36.28, 2.476, 59

Cell and atoms:
Unit cell a=7.5387 b=7.5387 c=19.0032 alpha=90.00 beta=90.00 gamma=120.00
Space group R-3m (No. 166, hexagonal axes)
Symmetry-distinct sites (fractional):
Cs  0.0000  0.0000  0.1010
Mg  0.0000  0.5000  0.0000
Pa  0.0000  0.0000  0.5000
F  0.0359  0.5179  0.1101
F  0.0811  0.5405  0.3363



[5]
This entry pairs a crystal structure of Na4TbDy3Se8 with its simulated powder diffraction line list. Radiation: Cu Ka. Structure: a DFT-relaxed cell (GGA-PBE, Alexandria).

Most intense lines, 15 to 90 degrees two-theta, sorted by position:
(hkl), Position (°2θ), d_spacing, I/Imax
0 2 1, 25.14, 3.543, 22
0 2 4, 30.12, 2.967, 100
2 0 8, 42.62, 2.121, 37
2 2 0, 43.62, 2.075, 36
4 0 4, 53.92, 1.700, 19
2 4 4, 71.77, 1.315, 16

Cell and atoms:
Unit cell a=8.3003 b=8.3003 c=21.0238 alpha=90.00 beta=90.00 gamma=120.00
Space group R-3m (No. 166, hexagonal axes)
Symmetry-distinct sites (fractional):
Na  0.0000  0.0000  0.0000
Na  0.0000  0.5000  0.0000
Tb  0.0000  0.0000  0.5000
Dy  0.0000  0.5000  0.5000
Se  0.0000  0.0000  0.2431
Se  0.0009  0.5005  0.7568



[6]
This entry pairs a crystal structure of TbEr4Ni10B10C5 with its simulated powder diffraction line list. Radiation: Cu Ka. Structure: a DFT-relaxed cell (GGA-PBE, Alexandria).

Most intense lines, 15 to 90 degrees two-theta, sorted by position:
(hkl), Position (°2θ), d_spacing, I/Imax
0 0 5, 26.64, 3.346, 33
1 1 -1, 26.80, 3.326, 32
4 0 -4, 34.46, 2.603, 36
3 1 -3, 36.39, 2.469, 31
3 1 2, 40.14, 2.247, 100
2 0 8, 51.74, 1.767, 13

Cell and atoms:
Unit cell a=10.9833 b=3.5100 c=17.5863 alpha=90.00 beta=107.74 gamma=90.00
Space group C2/m (No. 12)
Symmetry-distinct sites (fractional):
Tb  0.0000  0.0000  0.0000
Er  0.0994  0.5000  0.5997
Er  0.2021  0.0000  0.2009
Ni  0.0016  0.5000  0.2505
Ni  0.0984  0.0000  0.8491
Ni  0.1006  0.0000  0.3504
Ni  0.1980  0.5000  0.9498
Ni  0.2004  0.5000  0.4500
B  0.0123  0.5000  0.8705
B  0.0845  0.0000  0.7283
B  0.1144  0.0000  0.4712
B  0.1867  0.5000  0.3293
B  0.2165  0.5000  0.0717
C  0.0000  0.0000  0.5000
C  0.1036  0.5000  0.1021
C  0.1986  0.0000  0.6992